[1]
Diffraction record for Tb8Pr6In. The XRD peak list is theoretical, not measured: it uses a crystal structure in Alexandria, relaxed with PBE and Cu Kα X-rays.
Intensities are scaled so that the largest is 100.

Peak list (8 most intense, 2θ from 10° to 90°, sorted by position)
two_theta, I (rel.), index
25.64, 14, 0 2 1
27.47, 13, 0 0 2
28.71, 21, 2 1 0
31.91, 100, 2 1 1
33.43, 23, 2 -1 2
50.86, 18, 1 4 0
58.78, 13, 1 4 2
61.31, 13, 6 -4 1

```
data_Tb8Pr6In
_chemical_formula_sum 'Tb8 Pr6 In1'
_space_group_name_H-M_alt 'P 3'
_space_group_IT_number 143
_space_group_name_Hall 'P 3'
_cell_length_a 9.4996
_cell_length_b 9.4996
_cell_length_c 6.4940
_cell_angle_alpha 90.00
_cell_angle_beta 90.00
_cell_angle_gamma 120.00
loop_
_atom_site_label
_atom_site_fract_x
_atom_site_fract_y
_atom_site_fract_z
Tb1 0.0000 0.0000 0.0000
Tb2 0.0710 0.4437 0.3453
Tb3 0.1096 0.7061 0.9733
Tb4 0.6667 0.3333 0.3182
Pr1 0.2436 0.2185 0.4784
Pr2 0.4231 0.1145 0.8399
In1 0.3333 0.6667 0.6603
```

[2]
Diffraction record for TbPr4In3. The XRD peak list is theoretical, not measured: it uses a crystal structure in Alexandria, relaxed with PBE and Cu Kα X-rays.
Intensities are scaled so that the largest is 100.

Peak list (8 most intense, 2θ from 10° to 90°, sorted by position)
two_theta, I (rel.), index
31.82, 94, 0 1 8
32.30, 100, 1 1 0
45.98, 34, 2 0 8
56.39, 13, 1 0 16
57.31, 35, 1 2 8
57.61, 19, 3 0 0
67.61, 12, 2 2 0
76.67, 15, 3 1 8

```
data_TbPr4In3
_chemical_formula_sum 'Tb3 Pr12 In9'
_space_group_name_H-M_alt 'R -3 m'
_space_group_IT_number 166
_space_group_name_Hall '-R 3 2"'
_cell_length_a 5.5423
_cell_length_b 5.5423
_cell_length_c 27.7622
_cell_angle_alpha 90.00
_cell_angle_beta 90.00
_cell_angle_gamma 120.00
loop_
_atom_site_label
_atom_site_fract_x
_atom_site_fract_y
_atom_site_fract_z
Tb1 0.0000 0.0000 0.0000
Pr1 0.0000 0.0000 0.1310
Pr2 0.0000 0.0000 0.3823
In1 0.0000 0.0000 0.2591
In2 0.0000 0.0000 0.5000
```

Copy entry 2 word for word.
Diffraction record for TbPr4In3. The XRD peak list is theoretical, not measured: it uses a crystal structure in Alexandria, relaxed with PBE and Cu Kα X-rays.
Intensities are scaled so that the largest is 100.

Peak list (8 most intense, 2θ from 10° to 90°, sorted by position)
two_theta, I (rel.), index
31.82, 94, 0 1 8
32.30, 100, 1 1 0
45.98, 34, 2 0 8
56.39, 13, 1 0 16
57.31, 35, 1 2 8
57.61, 19, 3 0 0
67.61, 12, 2 2 0
76.67, 15, 3 1 8

```
data_TbPr4In3
_chemical_formula_sum 'Tb3 Pr12 In9'
_space_group_name_H-M_alt 'R -3 m'
_space_group_IT_number 166
_space_group_name_Hall '-R 3 2"'
_cell_length_a 5.5423
_cell_length_b 5.5423
_cell_length_c 27.7622
_cell_angle_alpha 90.00
_cell_angle_beta 90.00
_cell_angle_gamma 120.00
loop_
_atom_site_label
_atom_site_fract_x
_atom_site_fract_y
_atom_site_fract_z
Tb1 0.0000 0.0000 0.0000
Pr1 0.0000 0.0000 0.1310
Pr2 0.0000 0.0000 0.3823
In1 0.0000 0.0000 0.2591
In2 0.0000 0.0000 0.5000
```

Repeat the first record exactly.
Diffraction record for Tb8Pr6In. The XRD peak list is theoretical, not measured: it uses a crystal structure in Alexandria, relaxed with PBE and Cu Kα X-rays.
Intensities are scaled so that the largest is 100.

Peak list (8 most intense, 2θ from 10° to 90°, sorted by position)
two_theta, I (rel.), index
25.64, 14, 0 2 1
27.47, 13, 0 0 2
28.71, 21, 2 1 0
31.91, 100, 2 1 1
33.43, 23, 2 -1 2
50.86, 18, 1 4 0
58.78, 13, 1 4 2
61.31, 13, 6 -4 1

```
data_Tb8Pr6In
_chemical_formula_sum 'Tb8 Pr6 In1'
_space_group_name_H-M_alt 'P 3'
_space_group_IT_number 143
_space_group_name_Hall 'P 3'
_cell_length_a 9.4996
_cell_length_b 9.4996
_cell_length_c 6.4940
_cell_angle_alpha 90.00
_cell_angle_beta 90.00
_cell_angle_gamma 120.00
loop_
_atom_site_label
_atom_site_fract_x
_atom_site_fract_y
_atom_site_fract_z
Tb1 0.0000 0.0000 0.0000
Tb2 0.0710 0.4437 0.3453
Tb3 0.1096 0.7061 0.9733
Tb4 0.6667 0.3333 0.3182
Pr1 0.2436 0.2185 0.4784
Pr2 0.4231 0.1145 0.8399
In1 0.3333 0.6667 0.6603
```

> Number 2 is which compound?

TbPr4In3